Structure and simulated PXRD pattern of VCoSi (a cell relaxed with PBE; Cu Kα, 1.54184 Å).
Kinematic intensities with the Lorentz-polarization factor, no thermal factor.

Atomic structure:
Cell: 5.961 3.552 6.831 Å, 90.00 90.00 90.00°
Space group Pnma (No. 62)
Unique sites:
V 0.025 0.250 0.178 x4
Co 0.143 0.250 0.561 x4
Si 0.233 0.750 0.376 x4

The 8 most intense peaks (10° ≤ 2θ ≤ 90°), low angle first:
39.5 deg, I 53, (2 1 0); 39.6 deg, I 100, (1 1 2); 41.7 deg, I 82, (2 1 1); 42.5 deg, I 33, (1 0 3); 47.4 deg, I 47, (0 1 3); 47.7 deg, I 36, (3 0 1); 51.4 deg, I 46, (0 2 0); 78.6 deg, I 23, (3 1 4)

=====

Structure and simulated PXRD pattern of Y7ReO14 (a cell relaxed with PBE; Cu Kα, 1.54184 Å).
Kinematic intensities with the Lorentz-polarization factor, no thermal factor.

Atomic structure:
Cell: 7.630 10.675 7.573 Å, 90.00 90.00 90.00°
Space group Pnnm (No. 58)
Unique sites:
Y 0.000 0.000 0.000 x2
Y 0.000 0.000 0.500 x2
Y 0.000 0.500 0.000 x2
Y 0.241 0.265 0.267 x8
Re 0.000 0.500 0.500 x2
O 0.011 0.135 0.230 x8
O 0.063 0.612 0.321 x8
O 0.225 0.419 0.500 x4
O 0.226 0.366 0.000 x4
O 0.232 0.637 0.000 x4

The 8 most intense peaks (10° ≤ 2θ ≤ 90°), low angle first:
14.3 deg, I 18, (0 1 1); 28.8 deg, I 98, (2 2 0); 28.9 deg, I 100, (0 2 2); 33.3 deg, I 39, (2 0 2); 48.0 deg, I 78, (2 4 2); 56.7 deg, I 29, (4 2 2); 57.0 deg, I 25, (2 2 4); 57.2 deg, I 25, (2 6 0)

=====

Structure and simulated PXRD pattern of K2H3CO4F (a cell relaxed with PBE; Cu Kα, 1.54184 Å).
Kinematic intensities with the Lorentz-polarization factor, no thermal factor.

Atomic structure:
Cell: 5.425 7.388 7.563 Å, 90.00 104.50 90.00°
Space group P2_1/m (No. 11)
Unique sites:
K 0.213 0.003 0.267 x4
H 0.281 0.250 0.856 x2
H 0.286 0.250 0.647 x2
H 0.311 0.750 0.615 x2
C 0.310 0.750 0.877 x2
O 0.166 0.750 0.985 x2
O 0.169 0.250 0.728 x2
O 0.183 0.750 0.694 x2
O 0.448 0.250 0.084 x2
F 0.495 0.750 0.490 x2

The 8 most intense peaks (10° ≤ 2θ ≤ 90°), low angle first:
18.2 deg, I 31, (1 0 -1); 24.3 deg, I 32, (0 0 2); 30.3 deg, I 95, (1 2 -1); 33.7 deg, I 100, (1 2 1); 34.5 deg, I 52, (0 2 2); 36.8 deg, I 29, (2 0 -2); 44.2 deg, I 38, (1 2 -3); 49.3 deg, I 28, (0 4 0)